This entry pairs a crystal structure of CuP2H12N2O8F2 with its calculated X-ray powder pattern. Radiation: Cu Kα X-rays. Structure: a structure optimized by DFT (PBE).
Lines closer than 0.1° are merged.

Top 8 peaks for 2θ from 15° to 90°, sorted by position:
index	Position (°2θ)	I_rel
2 0 -1	15.2	1000
1 1 1	23.6	460
2 0 -2	24.3	240
3 1 0	27.0	633
1 1 -2	29.2	322
3 1 1	33.0	223
0 2 0	33.8	229
4 0 -3	39.0	146

Crystal structure
```
data_CuP2H12N2O8F2
_chemical_formula_sum 'Cu2 P4 H24 N4 O16 F4'
_space_group_name_H-M_alt 'C 1 2/m 1'
_space_group_IT_number 12
_cell_length_a 13.519
_cell_length_b 5.296
_cell_length_c 7.497
_cell_angle_alpha 90.00
_cell_angle_beta 110.58
_cell_angle_gamma 90.00
loop_
_space_group_symop_operation_xyz
'x,y,z'
'-x,-y,-z'
'-x,y,-z'
'x,-y,z'
'x+1/2,y+1/2,z'
'-x+1/2,-y+1/2,-z'
'-x+1/2,y+1/2,-z'
'x+1/2,-y+1/2,z'
loop_
_atom_site_label
_atom_site_type_symbol
_atom_site_fract_x
_atom_site_fract_y
_atom_site_fract_z
Cu1 Cu 0.000 0.000 0.000
P1 P 0.124 0.500 0.216
H1 H 0.018 0.151 0.346
H2 H 0.127 0.500 0.612
H3 H 0.158 0.343 0.821
H4 H 0.246 0.000 0.231
N1 N 0.175 0.500 0.756
O1 O 0.025 0.000 0.708
O2 O 0.062 0.500 0.352
O3 O 0.116 0.259 0.099
F1 F 0.247 0.500 0.356
```